(1)
Computed powder XRD pattern
Compound: TbSm7Er2
Radiation: Cu Kα, 1.54184 Å
Structure: DFT lattice parameters and positions (GGA-PBE)
Kinematic intensities with the Lorentz-polarization factor, no thermal factor.

Top 6 peaks for 2θ from 10° to 80°, by intensity:
2θ (°), Rel. int.
30.96, 100
30.49, 85
32.42, 46
33.01, 40
46.95, 30
61.53, 28

Structural model:
```
data_TbSm7Er2
_space_group_name_H-M_alt 'P 1'
_space_group_IT_number 1
_cell_length_a 9.5820
_cell_length_b 9.5820
_cell_length_c 7.0672
_cell_angle_alpha 111.60
_cell_angle_beta 111.60
_cell_angle_gamma 33.50
loop_
_space_group_symop_operation_xyz
'x,y,z'
loop_
_atom_site_label
_atom_site_fract_x
_atom_site_fract_y
_atom_site_fract_z
Tb1 0.0000 0.0000 0.0000
Sm1 0.0000 0.0000 0.5000
Sm2 0.1989 0.1989 0.1990
Sm3 0.3910 0.3910 0.1408
Sm4 0.3912 0.3912 0.6408
Sm5 0.6088 0.6088 0.3592
Sm6 0.6090 0.6090 0.8592
Sm7 0.8011 0.8011 0.8010
Er1 0.1995 0.1995 0.6995
Er2 0.8005 0.8005 0.3005
```

***

(2)
Computed powder XRD pattern
Compound: Rb4Er3GeO8
Radiation: Cu Kα, 1.54184 Å
Structure: DFT lattice parameters and positions (GGA-PBE)
Kinematic intensities with the Lorentz-polarization factor, no thermal factor.

Top 6 peaks for 2θ from 10° to 80°, by intensity:
2θ (°), Rel. int.
35.31, 100
31.43, 81
27.32, 45
48.14, 36
53.35, 31
60.96, 29

Structural model:
```
data_Rb4Er3GeO8
_space_group_name_H-M_alt 'P 1'
_space_group_IT_number 1
_cell_length_a 7.6388
_cell_length_b 7.6388
_cell_length_c 7.6388
_cell_angle_alpha 53.44
_cell_angle_beta 53.44
_cell_angle_gamma 53.44
loop_
_space_group_symop_operation_xyz
'x,y,z'
loop_
_atom_site_label
_atom_site_fract_x
_atom_site_fract_y
_atom_site_fract_z
Rb1 0.0000 0.0000 0.0000
Rb2 0.0000 0.5000 0.5000
Rb3 0.5000 0.0000 0.5000
Rb4 0.5000 0.5000 0.0000
Er1 0.0000 0.0000 0.5000
Er2 0.0000 0.5000 0.0000
Er3 0.5000 0.0000 0.0000
Ge1 0.5000 0.5000 0.5000
O1 0.2247 0.2247 0.2247
O2 0.2310 0.7211 0.7211
O3 0.2789 0.2789 0.7690
O4 0.2789 0.7690 0.2789
O5 0.7211 0.2310 0.7211
O6 0.7211 0.7211 0.2310
O7 0.7690 0.2789 0.2789
O8 0.7753 0.7753 0.7753
```

***

(3)
Computed powder XRD pattern
Compound: Cs6AuO
Radiation: Cu Kα, 1.54184 Å
Structure: DFT lattice parameters and positions (GGA-PBE)
Kinematic intensities with the Lorentz-polarization factor, no thermal factor.

Top 6 peaks for 2θ from 10° to 80°, by intensity:
2θ (°), Rel. int.
24.59, 100
11.28, 73
14.15, 50
22.46, 47
26.10, 46
21.40, 39

Structural model:
```
data_Cs6AuO
_space_group_name_H-M_alt 'P 1'
_space_group_IT_number 1
_cell_length_a 8.6444
_cell_length_b 15.6874
_cell_length_c 8.3138
_cell_angle_alpha 90.00
_cell_angle_beta 107.37
_cell_angle_gamma 90.00
loop_
_space_group_symop_operation_xyz
'x,y,z'
loop_
_atom_site_label
_atom_site_fract_x
_atom_site_fract_y
_atom_site_fract_z
Cs1 0.1931 0.1336 0.2273
Cs2 0.1931 0.8664 0.2273
Cs3 0.2364 0.0000 0.8016
Cs4 0.2636 0.5000 0.1984
Cs5 0.3069 0.3664 0.7727
Cs6 0.3069 0.6336 0.7727
Cs7 0.6931 0.3664 0.2273
Cs8 0.6931 0.6336 0.2273
Cs9 0.7364 0.5000 0.8016
Cs10 0.7636 0.0000 0.1984
Cs11 0.8069 0.1336 0.7727
Cs12 0.8069 0.8664 0.7727
Au1 0.0000 0.5000 0.5000
Au2 0.5000 0.0000 0.5000
O1 0.0000 0.0000 0.0000
O2 0.5000 0.5000 0.0000
```